Record 1
This entry pairs a crystal structure of Te6Mo3WSe2 with its theoretical powder X-ray diffraction pattern. Radiation: Cu Kα (λ = 1.5418 Å). Structure: a PBE-relaxed structure.

Largest 10 diffraction maxima, low angle first, 2θ = 10–80°:
Position (°2θ), Rel. int.
11.17, 90
29.50, 59
34.71, 100
35.99, 19
42.06, 66
43.78, 22
52.30, 44
64.30, 17
69.26, 15
73.90, 20

Structure:
```
Te6Mo3WSe2
1.0
3.499 0.000 0.000
-1.750 3.030 0.000
0.000 0.000 39.593
Te Mo W Se
6 3 1 2
direct
0.000 0.000 0.000
0.000 0.000 0.093
0.000 0.000 0.376
0.000 0.000 0.468
0.333 0.667 0.188
0.333 0.667 0.281
0.000 0.000 0.858
0.333 0.667 0.046
0.333 0.667 0.422
0.000 0.000 0.234
0.333 0.667 0.818
0.333 0.667 0.899
```

Record 2
This entry pairs a crystal structure of Sr3TiRuO7 with its theoretical powder X-ray diffraction pattern. Radiation: Cu Kα (λ = 1.5418 Å). Structure: a PBE-relaxed structure.

Largest 10 diffraction maxima, low angle first, 2θ = 10–80°:
Position (°2θ), Rel. int.
31.37, 100
32.07, 63
41.69, 13
43.92, 16
45.98, 39
55.40, 17
56.72, 38
65.47, 17
67.06, 11
76.28, 10

Structure:
```
Sr3TiRuO7
1.0
-1.974 1.974 10.308
1.974 -1.974 10.308
1.974 1.974 -10.308
Sr Ti Ru O
3 1 1 7
direct
0.000 0.000 0.000
0.182 0.182 0.000
0.813 0.813 0.000
0.596 0.596 0.000
0.401 0.401 0.000
0.095 0.595 0.500
0.301 0.301 0.000
0.402 0.902 0.500
0.500 0.500 0.000
0.595 0.095 0.500
0.692 0.692 0.000
0.902 0.402 0.500
```

Record 3
This entry pairs a crystal structure of Ba3Sr3Sb2N2 with its theoretical powder X-ray diffraction pattern. Radiation: Cu Kα (λ = 1.5418 Å). Structure: a PBE-relaxed structure.

Largest 10 diffraction maxima, low angle first, 2θ = 10–80°:
Position (°2θ), Rel. int.
28.07, 39
28.20, 56
30.76, 100
34.66, 38
45.18, 17
48.24, 29
51.39, 24
56.75, 40
58.31, 16
78.73, 16

Structure:
```
Ba3Sr3Sb2N2
1.0
7.547 0.000 0.000
-3.773 6.536 0.000
0.000 0.000 12.717
Ba Sr Sb N
6 6 4 4
direct
0.173 0.345 0.250
0.173 0.827 0.250
0.345 0.173 0.750
0.655 0.827 0.250
0.827 0.173 0.750
0.827 0.655 0.750
0.000 0.500 0.000
0.000 0.500 0.500
0.500 0.000 0.000
0.500 0.000 0.500
0.500 0.500 0.000
0.500 0.500 0.500
0.000 0.000 0.000
0.000 0.000 0.500
0.333 0.667 0.750
0.667 0.333 0.250
0.333 0.667 0.113
0.333 0.667 0.387
0.667 0.333 0.613
0.667 0.333 0.887
```

Record 4
This entry pairs a crystal structure of CoPd2N2 with its theoretical powder X-ray diffraction pattern. Radiation: Cu Kα (λ = 1.5418 Å). Structure: a PBE-relaxed structure.

Largest 10 diffraction maxima, low angle first, 2θ = 10–80°:
Position (°2θ), Rel. int.
10.70, 43
32.48, 65
37.03, 27
37.57, 57
39.70, 86
41.23, 100
52.61, 44
65.05, 39
66.37, 38
75.85, 32

Structure:
```
CoPd2N2
1.0
1.409 0.813 8.271
-1.409 0.813 8.271
0.000 -1.626 8.271
Co Pd N
1 2 2
direct
0.000 0.000 0.000
0.213 0.213 0.213
0.787 0.787 0.787
0.292 0.292 0.292
0.708 0.708 0.708
```

Record 5
This entry pairs a crystal structure of GaPtO2 with its theoretical powder X-ray diffraction pattern. Radiation: Cu Kα (λ = 1.5418 Å). Structure: a PBE-relaxed structure.

Largest 10 diffraction maxima, low angle first, 2θ = 10–80°:
Position (°2θ), Rel. int.
14.36, 44
28.95, 55
35.83, 100
38.07, 68
41.56, 39
51.44, 35
57.49, 26
62.90, 25
64.15, 18
70.69, 27

Structure:
```
GaPtO2
1.0
2.955 0.000 0.000
-1.478 2.559 0.000
0.000 0.000 12.339
Ga Pt O
2 2 4
direct
0.000 0.000 0.000
0.000 0.000 0.500
0.333 0.667 0.250
0.667 0.333 0.750
0.333 0.667 0.083
0.333 0.667 0.417
0.667 0.333 0.583
0.667 0.333 0.917
```

Record 6
This entry pairs a crystal structure of CaMg6Sn with its theoretical powder X-ray diffraction pattern. Radiation: Cu Kα (λ = 1.5418 Å). Structure: a PBE-relaxed structure.

Largest 10 diffraction maxima, low angle first, 2θ = 10–80°:
Position (°2θ), Rel. int.
15.29, 55
23.06, 30
23.19, 22
30.87, 29
32.06, 22
34.71, 35
35.53, 100
35.87, 50
55.38, 22
67.08, 35

Structure:
```
CaMg6Sn
1.0
5.169 0.000 0.000
0.000 3.359 5.723
0.000 -3.359 5.723
Ca Mg Sn
1 6 1
direct
0.000 0.000 0.000
0.000 0.001 0.500
0.000 0.500 0.001
0.000 0.506 0.506
0.500 0.337 0.337
0.500 0.351 0.830
0.500 0.830 0.351
0.500 0.835 0.835
```

Record 7
This entry pairs a crystal structure of Na2PtC4O16 with its theoretical powder X-ray diffraction pattern. Radiation: Cu Kα (λ = 1.5418 Å). Structure: a PBE-relaxed structure.

Largest 10 diffraction maxima, low angle first, 2θ = 10–80°:
Position (°2θ), Rel. int.
11.85, 35
13.37, 17
15.30, 100
17.91, 22
22.79, 62
27.43, 13
28.40, 32
29.81, 22
38.65, 13
42.68, 16

Structure:
```
Na2PtC4O16
1.0
7.466 -3.570 0.000
7.466 3.570 0.000
0.000 0.000 13.242
Na Pt C O
4 2 8 32
direct
0.068 0.432 0.250
0.432 0.068 0.750
0.568 0.932 0.250
0.932 0.568 0.750
0.000 0.000 0.000
0.500 0.500 0.500
0.113 0.783 0.814
0.217 0.887 0.814
0.283 0.613 0.314
0.387 0.717 0.314
0.613 0.283 0.686
0.717 0.387 0.686
0.783 0.113 0.186
0.887 0.217 0.186
0.008 0.171 0.108
0.137 0.670 0.746
0.169 0.169 0.500
0.170 0.637 0.246
0.171 0.008 0.892
0.184 0.248 0.582
0.245 0.755 0.046
0.248 0.184 0.418
0.252 0.316 0.918
0.255 0.745 0.546
0.316 0.252 0.082
0.329 0.492 0.392
0.330 0.863 0.746
0.331 0.331 0.000
0.363 0.830 0.246
0.492 0.329 0.608
0.508 0.671 0.392
0.637 0.170 0.754
0.669 0.669 0.000
0.670 0.137 0.254
0.671 0.508 0.608
0.684 0.748 0.918
0.745 0.255 0.454
0.748 0.684 0.082
0.752 0.816 0.582
0.755 0.245 0.954
0.816 0.752 0.418
0.829 0.992 0.108
0.830 0.363 0.754
0.831 0.831 0.500
0.863 0.330 0.254
0.992 0.829 0.892
```

Record 8
This entry pairs a crystal structure of Sm3GeO8 with its theoretical powder X-ray diffraction pattern. Radiation: Cu Kα (λ = 1.5418 Å). Structure: a PBE-relaxed structure.

Largest 10 diffraction maxima, low angle first, 2θ = 10–80°:
Position (°2θ), Rel. int.
18.88, 65
23.97, 40
25.61, 99
26.65, 44
29.47, 95
29.72, 50
30.53, 100
32.04, 45
34.11, 45
48.19, 42

Structure:
```
Sm3GeO8
1.0
5.464 0.000 0.000
0.000 10.486 0.000
-1.712 0.000 6.072
Sm Ge O
6 2 16
direct
0.185 0.049 0.299
0.185 0.451 0.299
0.289 0.250 0.825
0.711 0.750 0.175
0.815 0.549 0.701
0.815 0.951 0.701
0.308 0.750 0.500
0.692 0.250 0.500
0.044 0.632 0.459
0.044 0.868 0.459
0.071 0.250 0.108
0.204 0.031 0.936
0.204 0.469 0.936
0.484 0.626 0.382
0.484 0.874 0.382
0.496 0.750 0.787
0.504 0.250 0.213
0.516 0.126 0.618
0.516 0.374 0.618
0.796 0.531 0.064
0.796 0.969 0.064
0.929 0.750 0.892
0.956 0.132 0.541
0.956 0.368 0.541
```

Record 9
This entry pairs a crystal structure of PmSm3 with its theoretical powder X-ray diffraction pattern. Radiation: Cu Kα (λ = 1.5418 Å). Structure: a PBE-relaxed structure.

Largest 6 diffraction maxima, low angle first, 2θ = 10–80°:
Position (°2θ), Rel. int.
30.08, 100
34.88, 51
50.15, 36
59.60, 43
62.54, 12
73.65, 6

Structure:
```
PmSm3
1.0
5.145 0.000 0.000
0.000 5.145 0.000
0.000 0.000 5.145
Pm Sm
1 3
direct
0.000 0.000 0.000
0.000 0.500 0.500
0.500 0.000 0.500
0.500 0.500 0.000
```

Record 10
This entry pairs a crystal structure of Rb2ScHgF6 with its theoretical powder X-ray diffraction pattern. Radiation: Cu Kα (λ = 1.5418 Å). Structure: a PBE-relaxed structure.

Largest 10 diffraction maxima, low angle first, 2θ = 10–80°:
Position (°2θ), Rel. int.
16.59, 23
19.18, 10
27.25, 100
32.07, 23
38.92, 36
42.58, 15
48.16, 40
56.22, 22
63.57, 20
77.11, 23

Structure:
```
Rb2ScHgF6
1.0
0.000 4.628 4.628
4.628 0.000 4.628
4.628 4.628 0.000
Rb Sc Hg F
2 1 1 6
direct
0.250 0.250 0.250
0.750 0.750 0.750
0.000 0.000 0.000
0.500 0.500 0.500
0.220 0.220 0.780
0.220 0.780 0.220
0.220 0.780 0.780
0.780 0.220 0.220
0.780 0.220 0.780
0.780 0.780 0.220
```

Record 11
This entry pairs a crystal structure of In3Hg with its theoretical powder X-ray diffraction pattern. Radiation: Cu Kα (λ = 1.5418 Å). Structure: a PBE-relaxed structure.

Largest 10 diffraction maxima, low angle first, 2θ = 10–80°:
Position (°2θ), Rel. int.
21.75, 7
30.47, 32
31.44, 22
35.05, 100
44.35, 17
55.97, 17
57.14, 24
65.07, 22
67.77, 14
72.49, 4

Structure:
```
In3Hg
1.0
6.572 0.000 0.000
-3.286 5.691 0.000
0.000 0.000 5.868
In Hg
6 2
direct
0.167 0.335 0.250
0.167 0.833 0.250
0.335 0.167 0.750
0.665 0.833 0.250
0.833 0.167 0.750
0.833 0.665 0.750
0.333 0.667 0.750
0.667 0.333 0.250
```